No. 1
The following is a calculated X-ray powder pattern of KRb2AlBr6. It was derived from a cell relaxed with PBE, using CuKα.
Peak positions follow from Bragg's law for the DFT cell and can differ from measured ones.

Structural model:
Lattice parameters (Å, degrees): 11.334 11.334 11.334 90.00 90.00 90.00
Space group Fm-3m (No. 225)
Inequivalent atoms, fractional coordinates:
K 0.000 0.000 0.000 [4 per cell]
Rb 0.250 0.250 0.250 [8 per cell]
Al 0.000 0.000 0.500 [4 per cell]
Br 0.000 0.000 0.277 [24 per cell]

Peak list (12 most intense, 2θ = 10–90°, sorted by position)
| Position (°2θ) | d_spacing | I (rel.) |
| --- | --- | --- |
| 27.3 | 3.272 | 100.0 |
| 31.6 | 2.833 | 76.4 |
| 34.5 | 2.600 | 10.6 |
| 41.4 | 2.181 | 14.5 |
| 45.3 | 2.004 | 48.8 |
| 53.6 | 1.709 | 34.1 |
| 56.2 | 1.636 | 15.0 |
| 63.0 | 1.476 | 9.7 |
| 72.7 | 1.300 | 10.3 |
| 74.9 | 1.267 | 15.8 |
| 83.6 | 1.157 | 10.5 |
| 89.4 | 1.096 | 11.5 |

---

No. 2
The following is a calculated X-ray powder pattern of NdB2Ir2. It was derived from a cell relaxed with PBE, using CuKα.
Peak positions follow from Bragg's law for the DFT cell and can differ from measured ones.

Structural model:
Lattice parameters (Å, degrees): 9.237 9.258 14.064 90.00 90.00 90.00
Space group Fddd (No. 70, origin choice 2)
Inequivalent atoms, fractional coordinates:
Nd 0.000 0.000 0.000 [16 per cell]
B 0.055 0.056 0.733 [32 per cell]
Ir 0.019 0.018 0.406 [32 per cell]

Peak list (12 most intense, 2θ = 10–90°, sorted by position)
| Position (°2θ) | d_spacing | I (rel.) |
| --- | --- | --- |
| 14.9 | 5.929 | 32.6 |
| 30.1 | 2.965 | 100.0 |
| 31.2 | 2.863 | 18.6 |
| 34.7 | 2.584 | 62.0 |
| 36.2 | 2.481 | 39.3 |
| 39.0 | 2.312 | 80.2 |
| 44.7 | 2.027 | 50.2 |
| 45.9 | 1.976 | 24.2 |
| 47.3 | 1.921 | 18.4 |
| 56.3 | 1.635 | 23.5 |
| 60.8 | 1.524 | 24.7 |
| 73.3 | 1.292 | 24.1 |

---

No. 3
The following is a calculated X-ray powder pattern of K3Zn4As3O17. It was derived from a cell relaxed with PBE, using CuKα.
Peak positions follow from Bragg's law for the DFT cell and can differ from measured ones.

Structural model:
Lattice parameters (Å, degrees): 10.990 11.052 15.819 90.00 90.00 90.00
Space group Iba2 (No. 45)
Inequivalent atoms, fractional coordinates:
K 0.000 0.000 0.000 [4 per cell]
K 0.223 0.228 0.273 [8 per cell]
Zn 0.001 0.353 0.599 [8 per cell]
Zn 0.145 0.499 0.452 [8 per cell]
As 0.000 0.500 0.275 [4 per cell]
As 0.250 0.250 0.024 [8 per cell]
O 0.000 0.500 0.026 [4 per cell]
O 0.014 0.172 0.852 [8 per cell]
O 0.064 0.387 0.713 [8 per cell]
O 0.098 0.222 0.546 [8 per cell]
O 0.114 0.437 0.336 [8 per cell]
O 0.165 0.024 0.690 [8 per cell]
O 0.167 0.292 0.112 [8 per cell]
O 0.212 0.335 0.936 [8 per cell]
O 0.226 0.100 0.003 [8 per cell]

Peak list (12 most intense, 2θ = 10–90°, sorted by position)
| Position (°2θ) | d_spacing | I (rel.) |
| --- | --- | --- |
| 11.2 | 7.910 | 50.7 |
| 11.4 | 7.793 | 100.0 |
| 19.6 | 4.522 | 30.6 |
| 22.5 | 3.955 | 14.8 |
| 22.8 | 3.897 | 26.8 |
| 27.8 | 3.213 | 31.7 |
| 27.9 | 3.195 | 29.5 |
| 28.0 | 3.183 | 33.6 |
| 32.3 | 2.776 | 38.0 |
| 36.0 | 2.497 | 14.9 |
| 36.4 | 2.468 | 20.3 |
| 52.4 | 1.747 | 16.6 |

---

No. 4
The following is a calculated X-ray powder pattern of Ca2Br2F. It was derived from a cell relaxed with PBE, using CuKα.
Peak positions follow from Bragg's law for the DFT cell and can differ from measured ones.

Structural model:
Lattice parameters (Å, degrees): 5.008 5.008 13.321 90.00 90.00 90.00
Space group P4/mmm (No. 123)
Inequivalent atoms, fractional coordinates:
Ca 0.000 0.000 0.162 [2 per cell]
Br 0.000 0.000 0.353 [2 per cell]
F 0.000 0.000 0.000 [1 per cell]

Peak list (12 most intense, 2θ = 10–90°, sorted by position)
| Position (°2θ) | d_spacing | I (rel.) |
| --- | --- | --- |
| 17.7 | 5.008 | 100.0 |
| 25.1 | 3.541 | 42.1 |
| 26.8 | 3.326 | 14.7 |
| 32.3 | 2.772 | 22.0 |
| 35.9 | 2.504 | 16.0 |
| 37.1 | 2.426 | 11.8 |
| 40.3 | 2.240 | 22.7 |
| 44.6 | 2.030 | 11.6 |
| 45.3 | 2.001 | 10.2 |
| 48.4 | 1.881 | 9.0 |
| 49.0 | 1.858 | 10.4 |
| 58.5 | 1.577 | 9.8 |

---

No. 5
The following is a calculated X-ray powder pattern of CsTeAu. It was derived from a cell relaxed with PBE, using CuKα.
Peak positions follow from Bragg's law for the DFT cell and can differ from measured ones.

Structural model:
Lattice parameters (Å, degrees): 7.826 5.571 6.272 90.00 90.00 90.00
Space group Pmma (No. 51)
Inequivalent atoms, fractional coordinates:
Cs 0.250 0.000 0.238 [2 per cell]
Te 0.250 0.500 0.778 [2 per cell]
Au 0.000 0.500 0.500 [2 per cell]

Peak list (12 most intense, 2θ = 10–90°, sorted by position)
| Position (°2θ) | d_spacing | I (rel.) |
| --- | --- | --- |
| 14.1 | 6.272 | 35.4 |
| 15.9 | 5.571 | 36.9 |
| 21.3 | 4.165 | 35.8 |
| 24.2 | 3.677 | 100.0 |
| 26.9 | 3.320 | 31.5 |
| 27.9 | 3.202 | 22.7 |
| 31.4 | 2.852 | 35.5 |
| 32.1 | 2.785 | 38.8 |
| 36.7 | 2.447 | 52.0 |
| 40.8 | 2.211 | 24.7 |
| 46.4 | 1.957 | 21.4 |
| 49.6 | 1.838 | 44.2 |

---

No. 6
The following is a calculated X-ray powder pattern of Ti2Zn3O7. It was derived from a cell relaxed with PBE, using CuKα.
Peak positions follow from Bragg's law for the DFT cell and can differ from measured ones.

Structural model:
Lattice parameters (Å, degrees): 18.357 5.254 5.250 90.00 90.00 90.00
Space group Cmc2_1 (No. 36)
Inequivalent atoms, fractional coordinates:
Ti 0.103 0.247 0.000 [8 per cell]
Zn 0.000 0.243 0.534 [4 per cell]
Zn 0.198 0.279 0.454 [8 per cell]
O 0.000 0.137 0.939 [4 per cell]
O 0.079 0.424 0.323 [8 per cell]
O 0.128 0.076 0.679 [8 per cell]
O 0.205 0.354 0.061 [8 per cell]

Peak list (12 most intense, 2θ = 10–90°, sorted by position)
| Position (°2θ) | d_spacing | I (rel.) |
| --- | --- | --- |
| 28.1 | 3.175 | 6.5 |
| 34.1 | 2.626 | 59.3 |
| 34.3 | 2.611 | 100.0 |
| 38.3 | 2.348 | 10.1 |
| 42.2 | 2.142 | 5.8 |
| 49.1 | 1.857 | 24.5 |
| 49.7 | 1.836 | 15.8 |
| 57.5 | 1.602 | 9.9 |
| 61.3 | 1.513 | 43.1 |
| 61.6 | 1.505 | 24.1 |
| 72.4 | 1.305 | 11.7 |
| 83.1 | 1.162 | 7.8 |